No. 1
Starting from a GGA-PBE-relaxed structure, the XRD peak list of Cd2SeO3F2 was simulated for Cu Kα (λ = 1.5418 Å).
Intensities are scaled so that the largest is 100.

```
data_Cd2SeO3F2
_chemical_formula_sum 'Cd8 Se4 O12 F8'
_cell_length_a 7.7439
_cell_length_b 10.5122
_cell_length_c 5.6841
_cell_angle_alpha 90.00
_cell_angle_beta 90.00
_cell_angle_gamma 90.00
_symmetry_space_group_name_H-M 'P 1'
_symmetry_Int_Tables_number 1
_symmetry_space_group_name_Hall 'P 1'
loop_
_atom_site_label
_atom_site_type_symbol
_atom_site_fract_x
_atom_site_fract_y
_atom_site_fract_z
_atom_site_occupancy
Cd1 Cd 0.0941 0.0734 0.2463 1
Cd2 Cd 0.0941 0.4266 0.2463 1
Cd3 Cd 0.4059 0.5734 0.7463 1
Cd4 Cd 0.4059 0.9266 0.7463 1
Cd5 Cd 0.5941 0.0734 0.2537 1
Cd6 Cd 0.5941 0.4266 0.2537 1
Cd7 Cd 0.9059 0.5734 0.7537 1
Cd8 Cd 0.9059 0.9266 0.7537 1
Se1 Se 0.1719 0.7500 0.3316 1
Se2 Se 0.3281 0.2500 0.8316 1
Se3 Se 0.6719 0.7500 0.1684 1
Se4 Se 0.8281 0.2500 0.6684 1
O1 O 0.0438 0.6243 0.4172 1
O2 O 0.0438 0.8757 0.4172 1
O3 O 0.1716 0.2500 0.0554 1
O4 O 0.3284 0.7500 0.5554 1
O5 O 0.4562 0.1243 0.9172 1
O6 O 0.4562 0.3757 0.9172 1
O7 O 0.5438 0.6243 0.0828 1
O8 O 0.5438 0.8757 0.0828 1
O9 O 0.6716 0.2500 0.4446 1
O10 O 0.8284 0.7500 0.9446 1
O11 O 0.9562 0.1243 0.5828 1
O12 O 0.9562 0.3757 0.5828 1
F1 F 0.1595 0.5639 0.9476 1
F2 F 0.1595 0.9361 0.9476 1
F3 F 0.3405 0.0639 0.4476 1
F4 F 0.3405 0.4361 0.4476 1
F5 F 0.6595 0.5639 0.5524 1
F6 F 0.6595 0.9361 0.5524 1
F7 F 0.8405 0.0639 0.0524 1
F8 F 0.8405 0.4361 0.0524 1
```

Largest 10 diffraction maxima, in order of rising 2θ, 2θ = 10–80°:
d/Å	2θ/deg	intensity
3.200	27.88	100
3.117	28.63	11
2.983	29.96	93
2.842	31.48	21
2.598	34.52	35
1.918	47.41	49
1.752	52.21	14
1.730	52.91	13
1.624	56.68	14
1.537	60.22	18

***

No. 2
Starting from a GGA-PBE-relaxed structure, the XRD peak list of CdTe2Pd2F2 was simulated for Cu Kα (λ = 1.5418 Å).
Intensities are scaled so that the largest is 100.

```
data_CdTe2Pd2F2
_chemical_formula_sum 'Cd1 Te2 Pd2 F2'
_cell_length_a 3.6851
_cell_length_b 3.6851
_cell_length_c 9.6572
_cell_angle_alpha 90.00
_cell_angle_beta 90.00
_cell_angle_gamma 90.00
_symmetry_space_group_name_H-M 'P 1'
_symmetry_Int_Tables_number 1
_symmetry_space_group_name_Hall 'P 1'
loop_
_atom_site_label
_atom_site_type_symbol
_atom_site_fract_x
_atom_site_fract_y
_atom_site_fract_z
_atom_site_occupancy
Cd1 Cd 0.0000 0.0000 0.0000 1
Te1 Te 0.0000 0.5000 0.7615 1
Te2 Te 0.5000 0.0000 0.2385 1
Pd1 Pd 0.0000 0.5000 0.3385 1
Pd2 Pd 0.5000 0.0000 0.6615 1
F1 F 0.0000 0.0000 0.5000 1
F2 F 0.5000 0.5000 0.5000 1
```

Largest 10 diffraction maxima, in order of rising 2θ, 2θ = 10–80°:
d/Å	2θ/deg	intensity
4.829	18.37	24
3.443	25.88	21
2.929	30.52	54
2.606	34.42	28
2.424	37.08	40
2.293	39.29	100
2.019	44.88	20
1.843	49.47	39
1.711	53.57	33
1.254	75.89	23

***

No. 3
Starting from a GGA-PBE-relaxed structure, the XRD peak list of Cd2Te2PdF2 was simulated for Cu Kα (λ = 1.5418 Å).
Intensities are scaled so that the largest is 100.

```
data_Cd2Te2PdF2
_chemical_formula_sum 'Cd2 Te2 Pd1 F2'
_cell_length_a 3.8281
_cell_length_b 3.8281
_cell_length_c 9.6687
_cell_angle_alpha 90.00
_cell_angle_beta 90.00
_cell_angle_gamma 90.00
_symmetry_space_group_name_H-M 'P 1'
_symmetry_Int_Tables_number 1
_symmetry_space_group_name_Hall 'P 1'
loop_
_atom_site_label
_atom_site_type_symbol
_atom_site_fract_x
_atom_site_fract_y
_atom_site_fract_z
_atom_site_occupancy
Cd1 Cd 0.0000 0.5000 0.1442 1
Cd2 Cd 0.5000 0.0000 0.8558 1
Te1 Te 0.0000 0.5000 0.6869 1
Te2 Te 0.5000 0.0000 0.3131 1
Pd1 Pd 0.5000 0.5000 0.5000 1
F1 F 0.0000 0.0000 0.0000 1
F2 F 0.5000 0.5000 0.0000 1
```

Largest 10 diffraction maxima, in order of rising 2θ, 2θ = 10–80°:
d/Å	2θ/deg	intensity
3.001	29.77	100
2.707	33.09	24
2.465	36.44	16
2.362	38.10	42
2.044	44.32	27
1.914	47.50	30
1.803	50.63	16
1.613	57.08	36
1.397	66.98	15
1.233	77.39	14

***

No. 4
Starting from a GGA-PBE-relaxed structure, the XRD peak list of Cd2Te2PtF2 was simulated for Cu Kα (λ = 1.5418 Å).
Intensities are scaled so that the largest is 100.

```
data_Cd2Te2PtF2
_chemical_formula_sum 'Cd2 Te2 Pt1 F2'
_cell_length_a 3.9210
_cell_length_b 3.9210
_cell_length_c 9.3280
_cell_angle_alpha 90.00
_cell_angle_beta 90.00
_cell_angle_gamma 90.00
_symmetry_space_group_name_H-M 'P 1'
_symmetry_Int_Tables_number 1
_symmetry_space_group_name_Hall 'P 1'
loop_
_atom_site_label
_atom_site_type_symbol
_atom_site_fract_x
_atom_site_fract_y
_atom_site_fract_z
_atom_site_occupancy
Cd1 Cd 0.0000 0.5000 0.1454 1
Cd2 Cd 0.5000 0.0000 0.8546 1
Te1 Te 0.0000 0.5000 0.6840 1
Te2 Te 0.5000 0.0000 0.3160 1
Pt1 Pt 0.0000 0.0000 0.5000 1
F1 F 0.0000 0.0000 0.0000 1
F2 F 0.5000 0.5000 0.0000 1
```

Largest 10 diffraction maxima, in order of rising 2θ, 2θ = 10–80°:
d/Å	2θ/deg	intensity
3.921	22.68	18
3.615	24.63	31
3.001	29.77	100
2.436	36.89	18
2.383	37.75	55
2.004	45.24	26
1.960	46.31	36
1.785	51.19	22
1.641	56.03	33
1.402	66.74	16

***

No. 5
Starting from a GGA-PBE-relaxed structure, the XRD peak list of RbTbCdF7 was simulated for Cu Kα (λ = 1.5418 Å).
Intensities are scaled so that the largest is 100.

```
data_RbTbCdF7
_chemical_formula_sum 'Rb2 Tb2 Cd2 F14'
_cell_length_a 6.4099
_cell_length_b 6.4099
_cell_length_c 8.4439
_cell_angle_alpha 90.00
_cell_angle_beta 90.00
_cell_angle_gamma 116.30
_symmetry_space_group_name_H-M 'P 1'
_symmetry_Int_Tables_number 1
_symmetry_space_group_name_Hall 'P 1'
loop_
_atom_site_label
_atom_site_type_symbol
_atom_site_fract_x
_atom_site_fract_y
_atom_site_fract_z
_atom_site_occupancy
Rb1 Rb 0.0000 0.0000 0.0000 1
Rb2 Rb 0.0000 0.0000 0.5000 1
Tb1 Tb 0.3045 0.6955 0.7500 1
Tb2 Tb 0.6955 0.3045 0.2500 1
Cd1 Cd 0.2968 0.7032 0.2500 1
Cd2 Cd 0.7032 0.2968 0.7500 1
F1 F 0.0508 0.3217 0.2500 1
F2 F 0.0641 0.3208 0.7500 1
F3 F 0.2785 0.7215 0.0011 1
F4 F 0.2785 0.7215 0.4989 1
F5 F 0.3208 0.0641 0.2500 1
F6 F 0.3217 0.0508 0.7500 1
F7 F 0.4974 0.5026 0.2500 1
F8 F 0.5026 0.4974 0.7500 1
F9 F 0.6783 0.9492 0.2500 1
F10 F 0.6792 0.9359 0.7500 1
F11 F 0.7215 0.2785 0.5011 1
F12 F 0.7215 0.2785 0.9989 1
F13 F 0.9359 0.6792 0.2500 1
F14 F 0.9492 0.6783 0.7500 1
```

Largest 10 diffraction maxima, in order of rising 2θ, 2θ = 10–80°:
d/Å	2θ/deg	intensity
5.445	16.28	54
4.222	21.04	75
3.402	26.19	79
3.383	26.35	92
3.336	26.72	86
3.199	27.89	100
2.375	37.88	64
2.111	42.84	46
1.915	47.47	37
1.861	48.95	66

***

No. 6
Starting from a GGA-PBE-relaxed structure, the XRD peak list of Rb2TlCdF6 was simulated for Cu Kα (λ = 1.5418 Å).
Intensities are scaled so that the largest is 100.

```
data_Rb2TlCdF6
_chemical_formula_sum 'Rb2 Tl1 Cd1 F6'
_cell_length_a 6.1944
_cell_length_b 6.2100
_cell_length_c 6.2874
_cell_angle_alpha 89.57
_cell_angle_beta 61.28
_cell_angle_gamma 60.29
_symmetry_space_group_name_H-M 'P 1'
_symmetry_Int_Tables_number 1
_symmetry_space_group_name_Hall 'P 1'
loop_
_atom_site_label
_atom_site_type_symbol
_atom_site_fract_x
_atom_site_fract_y
_atom_site_fract_z
_atom_site_occupancy
Rb1 Rb 0.0030 0.2482 0.2425 1
Rb2 Rb 0.9970 0.7518 0.7575 1
Tl1 Tl 0.5000 0.0000 0.5000 1
Cd1 Cd 0.5000 0.5000 0.0000 1
F1 F 0.0125 0.7834 0.2049 1
F2 F 0.4328 0.3444 0.3270 1
F3 F 0.4933 0.2049 0.8147 1
F4 F 0.5067 0.7951 0.1853 1
F5 F 0.5672 0.6556 0.6730 1
F6 F 0.9875 0.2166 0.7951 1
```

Largest 10 diffraction maxima, in order of rising 2θ, 2θ = 10–80°:
d/Å	2θ/deg	intensity
3.219	27.71	48
3.178	28.08	51
3.141	28.42	52
3.109	28.71	100
3.097	28.83	48
2.248	40.11	34
2.216	40.72	31
2.200	41.02	28
1.798	50.77	23
1.789	51.06	33

***

No. 7
Starting from a GGA-PBE-relaxed structure, the XRD peak list of RbZrCdF7 was simulated for Cu Kα (λ = 1.5418 Å).
Intensities are scaled so that the largest is 100.

```
data_RbZrCdF7
_chemical_formula_sum 'Rb2 Zr2 Cd2 F14'
_cell_length_a 6.3883
_cell_length_b 6.3883
_cell_length_c 8.4029
_cell_angle_alpha 90.00
_cell_angle_beta 90.00
_cell_angle_gamma 116.29
_symmetry_space_group_name_H-M 'P 1'
_symmetry_Int_Tables_number 1
_symmetry_space_group_name_Hall 'P 1'
loop_
_atom_site_label
_atom_site_type_symbol
_atom_site_fract_x
_atom_site_fract_y
_atom_site_fract_z
_atom_site_occupancy
Rb1 Rb 0.0000 0.0000 0.0000 1
Rb2 Rb 0.0000 0.0000 0.5000 1
Zr1 Zr 0.3057 0.6943 0.7500 1
Zr2 Zr 0.6943 0.3057 0.2500 1
Cd1 Cd 0.3058 0.6942 0.2500 1
Cd2 Cd 0.6942 0.3058 0.7500 1
F1 F 0.0330 0.3235 0.2500 1
F2 F 0.0660 0.3389 0.7500 1
F3 F 0.2906 0.7094 0.5108 1
F4 F 0.2906 0.7094 0.9892 1
F5 F 0.3235 0.0330 0.7500 1
F6 F 0.3389 0.0660 0.2500 1
F7 F 0.4928 0.5072 0.7500 1
F8 F 0.5072 0.4928 0.2500 1
F9 F 0.6611 0.9340 0.7500 1
F10 F 0.6765 0.9670 0.2500 1
F11 F 0.7094 0.2906 0.0108 1
F12 F 0.7094 0.2906 0.4892 1
F13 F 0.9340 0.6611 0.2500 1
F14 F 0.9670 0.6765 0.7500 1
```

Largest 10 diffraction maxima, in order of rising 2θ, 2θ = 10–80°:
d/Å	2θ/deg	intensity
4.201	21.15	56
3.388	26.31	85
3.372	26.44	83
3.322	26.84	76
3.188	27.99	100
2.366	38.03	46
2.101	43.06	45
1.909	47.63	40
1.854	49.14	52
1.754	52.14	34

***

No. 8
Starting from a GGA-PBE-relaxed structure, the XRD peak list of Cd4SF6 was simulated for Cu Kα (λ = 1.5418 Å).
Intensities are scaled so that the largest is 100.

```
data_Cd4SF6
_chemical_formula_sum 'Cd8 S2 F12'
_cell_length_a 7.8125
_cell_length_b 7.8125
_cell_length_c 7.8125
_cell_angle_alpha 60.00
_cell_angle_beta 60.00
_cell_angle_gamma 60.00
_symmetry_space_group_name_H-M 'P 1'
_symmetry_Int_Tables_number 1
_symmetry_space_group_name_Hall 'P 1'
loop_
_atom_site_label
_atom_site_type_symbol
_atom_site_fract_x
_atom_site_fract_y
_atom_site_fract_z
_atom_site_occupancy
Cd1 Cd 0.0000 0.0000 0.0000 1
Cd2 Cd 0.0000 0.0000 0.5000 1
Cd3 Cd 0.0000 0.5000 0.0000 1
Cd4 Cd 0.0000 0.5000 0.5000 1
Cd5 Cd 0.5000 0.0000 0.0000 1
Cd6 Cd 0.5000 0.0000 0.5000 1
Cd7 Cd 0.5000 0.5000 0.0000 1
Cd8 Cd 0.5000 0.5000 0.5000 1
S1 S 0.1250 0.1250 0.1250 1
S2 S 0.8750 0.8750 0.8750 1
F1 F 0.1556 0.1556 0.5944 1
F2 F 0.1556 0.5944 0.1556 1
F3 F 0.1556 0.5944 0.5944 1
F4 F 0.4056 0.4056 0.8444 1
F5 F 0.4056 0.8444 0.4056 1
F6 F 0.4056 0.8444 0.8444 1
F7 F 0.5944 0.1556 0.1556 1
F8 F 0.5944 0.1556 0.5944 1
F9 F 0.5944 0.5944 0.1556 1
F10 F 0.8444 0.4056 0.4056 1
F11 F 0.8444 0.4056 0.8444 1
F12 F 0.8444 0.8444 0.4056 1
```

Largest 10 diffraction maxima, in order of rising 2θ, 2θ = 10–80°:
d/Å	2θ/deg	intensity
3.331	26.76	1
3.189	27.97	100
2.762	32.41	24
2.535	35.41	2
1.953	46.50	58
1.666	55.14	43
1.595	57.82	7
1.381	67.86	8
1.267	74.93	17
1.235	77.23	10

***

No. 9
Starting from a GGA-PBE-relaxed structure, the XRD peak list of TlCdSF was simulated for Cu Kα (λ = 1.5418 Å).
Intensities are scaled so that the largest is 100.

```
data_TlCdSF
_chemical_formula_sum 'Tl8 Cd8 S8 F8'
_cell_length_a 9.9704
_cell_length_b 18.5490
_cell_length_c 4.0676
_cell_angle_alpha 90.00
_cell_angle_beta 90.00
_cell_angle_gamma 90.00
_symmetry_space_group_name_H-M 'P 1'
_symmetry_Int_Tables_number 1
_symmetry_space_group_name_Hall 'P 1'
loop_
_atom_site_label
_atom_site_type_symbol
_atom_site_fract_x
_atom_site_fract_y
_atom_site_fract_z
_atom_site_occupancy
Tl1 Tl 0.0327 0.2360 0.0000 1
Tl2 Tl 0.2469 0.8704 0.0000 1
Tl3 Tl 0.2531 0.3704 0.0000 1
Tl4 Tl 0.4673 0.7360 0.0000 1
Tl5 Tl 0.5327 0.2640 0.0000 1
Tl6 Tl 0.7469 0.6296 0.0000 1
Tl7 Tl 0.7531 0.1296 0.0000 1
Tl8 Tl 0.9673 0.7640 0.0000 1
Cd1 Cd 0.0967 0.5908 0.5000 1
Cd2 Cd 0.0975 0.0724 0.5000 1
Cd3 Cd 0.4025 0.5724 0.5000 1
Cd4 Cd 0.4033 0.0908 0.5000 1
Cd5 Cd 0.5967 0.9092 0.5000 1
Cd6 Cd 0.5975 0.4276 0.5000 1
Cd7 Cd 0.9025 0.9276 0.5000 1
Cd8 Cd 0.9033 0.4092 0.5000 1
S1 S 0.2246 0.1906 0.5000 1
S2 S 0.2291 0.4744 0.5000 1
S3 S 0.2709 0.9744 0.5000 1
S4 S 0.2754 0.6906 0.5000 1
S5 S 0.7246 0.3094 0.5000 1
S6 S 0.7291 0.0256 0.5000 1
S7 S 0.7709 0.5256 0.5000 1
S8 S 0.7754 0.8094 0.5000 1
F1 F 0.0018 0.9195 0.0000 1
F2 F 0.0065 0.6059 0.0000 1
F3 F 0.4935 0.1059 0.0000 1
F4 F 0.4982 0.4195 0.0000 1
F5 F 0.5018 0.5805 0.0000 1
F6 F 0.5065 0.8941 0.0000 1
F7 F 0.9935 0.3941 0.0000 1
F8 F 0.9982 0.0805 0.0000 1
```

Largest 10 diffraction maxima, in order of rising 2θ, 2θ = 10–80°:
d/Å	2θ/deg	intensity
3.725	23.89	56
3.489	25.53	100
3.395	26.25	33
3.129	28.53	57
2.982	29.96	27
2.627	34.13	25
2.607	34.41	72
2.250	40.07	26
2.125	42.54	30
2.034	44.55	28

***

No. 10
Starting from a GGA-PBE-relaxed structure, the XRD peak list of TlCdSF was simulated for Cu Kα (λ = 1.5418 Å).
Intensities are scaled so that the largest is 100.

```
data_TlCdSF
_chemical_formula_sum 'Tl2 Cd2 S2 F2'
_cell_length_a 11.8050
_cell_length_b 11.8050
_cell_length_c 11.8050
_cell_angle_alpha 21.22
_cell_angle_beta 21.22
_cell_angle_gamma 21.22
_symmetry_space_group_name_H-M 'P 1'
_symmetry_Int_Tables_number 1
_symmetry_space_group_name_Hall 'P 1'
loop_
_atom_site_label
_atom_site_type_symbol
_atom_site_fract_x
_atom_site_fract_y
_atom_site_fract_z
_atom_site_occupancy
Tl1 Tl 0.1214 0.1214 0.1214 1
Tl2 Tl 0.8786 0.8786 0.8786 1
Cd1 Cd 0.2984 0.2984 0.2984 1
Cd2 Cd 0.7016 0.7016 0.7016 1
S1 S 0.3784 0.3784 0.3784 1
S2 S 0.6216 0.6216 0.6216 1
F1 F 0.1938 0.1938 0.1938 1
F2 F 0.8062 0.8062 0.8062 1
```

Largest 10 diffraction maxima, in order of rising 2θ, 2θ = 10–80°:
d/Å	2θ/deg	intensity
3.679	24.19	27
3.452	25.81	80
3.307	26.96	100
2.995	29.83	51
2.884	31.01	52
2.548	35.23	34
2.173	41.55	89
1.875	48.55	25
1.791	51.00	22
1.736	52.74	69

***

No. 11
Starting from a GGA-PBE-relaxed structure, the XRD peak list of Sr2CdTe2F2 was simulated for Cu Kα (λ = 1.5418 Å).
Intensities are scaled so that the largest is 100.

```
data_Sr2CdTe2F2
_chemical_formula_sum 'Sr2 Cd1 Te2 F2'
_cell_length_a 4.2748
_cell_length_b 4.2748
_cell_length_c 9.7130
_cell_angle_alpha 90.00
_cell_angle_beta 90.00
_cell_angle_gamma 90.00
_symmetry_space_group_name_H-M 'P 1'
_symmetry_Int_Tables_number 1
_symmetry_space_group_name_Hall 'P 1'
loop_
_atom_site_label
_atom_site_type_symbol
_atom_site_fract_x
_atom_site_fract_y
_atom_site_fract_z
_atom_site_occupancy
Sr1 Sr 0.0000 0.5000 0.1379 1
Sr2 Sr 0.5000 0.0000 0.8621 1
Cd1 Cd 0.5000 0.5000 0.5000 1
Te1 Te 0.0000 0.5000 0.6914 1
Te2 Te 0.5000 0.0000 0.3086 1
F1 F 0.0000 0.0000 0.0000 1
F2 F 0.5000 0.5000 0.0000 1
```

Largest 10 diffraction maxima, in order of rising 2θ, 2θ = 10–80°:
d/Å	2θ/deg	intensity
3.913	22.73	29
3.209	27.80	100
3.023	29.55	24
2.581	34.76	23
2.566	34.96	57
2.137	42.28	41
2.111	42.83	25
1.893	48.06	15
1.779	51.36	36
1.502	61.76	17

***

No. 12
Starting from a GGA-PBE-relaxed structure, the XRD peak list of SrCd2Te2F2 was simulated for Cu Kα (λ = 1.5418 Å).
Intensities are scaled so that the largest is 100.

```
data_SrCd2Te2F2
_chemical_formula_sum 'Sr1 Cd2 Te2 F2'
_cell_length_a 4.0715
_cell_length_b 4.0715
_cell_length_c 10.1785
_cell_angle_alpha 90.00
_cell_angle_beta 90.00
_cell_angle_gamma 90.00
_symmetry_space_group_name_H-M 'P 1'
_symmetry_Int_Tables_number 1
_symmetry_space_group_name_Hall 'P 1'
loop_
_atom_site_label
_atom_site_type_symbol
_atom_site_fract_x
_atom_site_fract_y
_atom_site_fract_z
_atom_site_occupancy
Sr1 Sr 0.0000 0.0000 0.0000 1
Cd1 Cd 0.0000 0.5000 0.3696 1
Cd2 Cd 0.5000 0.0000 0.6304 1
Te1 Te 0.0000 0.5000 0.7658 1
Te2 Te 0.5000 0.0000 0.2342 1
F1 F 0.0000 0.0000 0.5000 1
F2 F 0.5000 0.5000 0.5000 1
```

Largest 10 diffraction maxima, in order of rising 2θ, 2θ = 10–80°:
d/Å	2θ/deg	intensity
3.179	28.07	95
2.879	31.06	52
2.606	34.41	100
2.506	35.84	87
2.036	44.51	64
1.821	50.10	40
1.714	53.45	30
1.604	57.44	44
1.439	64.76	27
1.357	69.23	28